Entry 1:
This entry pairs a crystal structure of Li8CoO5F with its simulated powder diffractogram. Radiation: Cu Kα, 1.54184 Å. Structure: a PBE+U-relaxed structure.
Kinematic intensities with the Lorentz-polarization factor, no thermal factor.

The 6 most intense peaks (5° ≤ 2θ ≤ 70°), by angle:
2θ/deg  d [Å]  Rel. int.
16.2  5.474  43
18.3  4.845  78
24.5  3.628  100
24.7  3.611  50
32.2  2.782  44
32.7  2.737  53

Structural model:
```
Li8CoO5F
1.0
5.5634 0.0000 0.0000
0.0000 10.9477 0.0000
-2.7368 0.0000 4.8458
Li Co O F
16 2 10 2
Cartesian
-0.2795 0.0000 0.6972 Li
-2.0902 9.2912 3.9663 Li
0.3196 9.2922 2.3359 Li
-0.4301 3.8169 3.8106 Li
1.3799 2.0764 0.8054 Li
1.3872 7.7235 0.8258 Li
-0.3713 10.9314 4.2856 Li
0.6752 5.4794 2.4913 Li
2.1514 0.0056 2.3545 Li
3.1979 5.4576 0.5602 Li
1.4394 2.2496 4.0199 Li
1.4467 7.5502 4.0403 Li
3.2567 9.2907 1.0351 Li
2.5069 3.8184 2.5099 Li
4.9168 3.8174 0.8795 Li
3.1061 5.4738 4.1486 Li
-1.3522 1.4624 2.4469 Co
4.1788 6.9362 2.3989 Co
-1.3588 10.4017 2.4510 O
-2.2258 7.3760 3.9992 O
-0.4674 1.8859 3.9751 O
0.4197 7.3827 2.4702 O
1.4113 9.9535 0.8301 O
1.4152 4.4797 4.0157 O
2.4069 1.9089 2.3756 O
3.2939 7.3597 0.8706 O
5.0523 1.9022 0.8466 O
4.1853 4.9278 2.3947 O
1.3889 4.5501 0.7773 F
1.4376 10.0239 4.0685 F
```


Entry 2:
This entry pairs a crystal structure of Li8CoO5F with its simulated powder diffractogram. Radiation: Cu Kα, 1.54184 Å. Structure: a PBE+U-relaxed structure.
Kinematic intensities with the Lorentz-polarization factor, no thermal factor.

The 6 most intense peaks (5° ≤ 2θ ≤ 70°), by angle:
2θ/deg  d [Å]  Rel. int.
18.5  4.804  77
19.9  4.468  58
20.8  4.263  95
33.8  2.654  100
33.9  2.644  50
54.5  1.684  46

Structural model:
```
Li8CoO5F
1.0
5.4572 0.0000 0.0000
2.7041 5.0518 0.0000
1.4181 1.6916 5.3016
Li Co O F
8 1 5 1
Cartesian
0.0000 0.0000 0.0000 Li
1.0323 1.4286 1.4932 Li
3.2885 4.7679 3.9976 Li
3.5748 3.4201 1.6381 Li
2.8500 1.3918 0.0238 Li
6.1405 4.7016 1.6259 Li
5.3631 3.0123 0.0335 Li
7.1794 3.0168 3.1306 Li
4.4702 1.5225 3.0150 Co
2.4179 3.2429 4.8552 O
2.8776 1.5749 2.0854 O
5.4220 2.9793 2.1357 O
7.7257 6.3898 4.7647 O
8.0182 4.9727 2.1670 O
4.9057 4.9413 5.0411 F
```


Entry 3:
This entry pairs a crystal structure of Li6Co2OF11 with its simulated powder diffractogram. Radiation: Cu Kα, 1.54184 Å. Structure: a PBE+U-relaxed structure.
Kinematic intensities with the Lorentz-polarization factor, no thermal factor.

The 6 most intense peaks (5° ≤ 2θ ≤ 70°), by angle:
2θ/deg  d [Å]  Rel. int.
17.8  4.982  100
19.6  4.538  41
20.7  4.299  34
21.0  4.227  35
24.4  3.645  64
39.7  2.270  44

Structural model:
```
Li6Co2OF11
1.0
5.1773 0.0000 0.0000
2.5483 5.1984 0.0000
0.2497 2.8439 7.9066
Li Co O F
6 2 1 11
Cartesian
0.0000 0.0000 0.0000 Li
2.6601 6.5315 4.9924 Li
2.7269 2.3068 0.1967 Li
3.4823 0.8947 2.3662 Li
5.1307 4.2935 4.7672 Li
5.2824 2.9003 1.7199 Li
2.6131 3.4112 3.3144 Co
5.4212 7.2777 6.4967 Co
2.0156 2.7501 4.7228 O
1.9016 2.0010 2.1682 F
2.1019 3.5358 7.3615 F
3.7165 6.3545 6.7671 F
3.3223 4.0584 1.7381 F
3.4092 4.9228 4.1938 F
4.3083 2.3109 3.4435 F
4.3406 1.4558 0.8402 F
4.5468 3.0194 6.0927 F
6.0638 5.8068 5.5310 F
6.1025 3.8008 0.1642 F
6.0817 4.3772 3.0091 F
```


Entry 4:
This entry pairs a crystal structure of Li4Co7O2F14 with its simulated powder diffractogram. Radiation: Cu Kα, 1.54184 Å. Structure: a PBE+U-relaxed structure.
Kinematic intensities with the Lorentz-polarization factor, no thermal factor.

The 6 most intense peaks (5° ≤ 2θ ≤ 70°), by angle:
2θ/deg  d [Å]  Rel. int.
17.3  5.116  31
17.9  4.968  63
18.3  4.853  100
41.4  2.180  49
41.6  2.171  48
42.8  2.111  44

Structural model:
```
Li4Co7O2F14
1.0
5.9657 0.0000 0.0000
-2.9658 5.4152 0.0000
-2.5770 -1.9706 9.9147
Li Co O F
4 7 2 14
Cartesian
0.0411 0.1218 1.7840 Li
-2.7713 1.9782 6.8071 Li
3.1943 1.4663 3.1076 Li
0.3819 3.3227 8.1307 Li
-1.2885 -0.9853 4.9574 Co
-1.4829 2.7076 0.0000 Co
0.1808 -0.1601 7.4335 Co
2.9829 0.0000 0.0000 Co
1.6944 -0.9853 4.9574 Co
0.2115 1.7223 4.9574 Co
0.2421 3.6046 2.4812 Co
-2.7553 3.8149 6.0807 O
3.1783 -0.3704 3.8341 O
-2.7436 1.7817 8.7498 F
-0.0619 1.9956 1.2836 F
-1.3806 4.4480 1.2289 F
-1.0452 -1.1702 8.7107 F
-1.2246 0.8709 6.1786 F
-1.2155 2.5733 3.7696 F
0.1824 0.0637 3.7418 F
0.2406 3.3808 6.1729 F
1.6385 0.8712 6.1452 F
1.6476 2.5736 3.7361 F
1.4682 4.6147 1.2040 F
1.8036 -1.0035 8.6859 F
0.4849 1.4490 8.6311 F
3.1666 1.6628 1.1649 F
```


Entry 5:
This entry pairs a crystal structure of LiCo6O2F10 with its simulated powder diffractogram. Radiation: Cu Kα, 1.54184 Å. Structure: a PBE+U-relaxed structure.
Kinematic intensities with the Lorentz-polarization factor, no thermal factor.

The 6 most intense peaks (5° ≤ 2θ ≤ 70°), by angle:
2θ/deg  d [Å]  Rel. int.
25.4  3.510  100
26.7  3.342  88
34.2  2.622  53
34.3  2.611  50
50.6  1.802  34
50.7  1.799  33

Structural model:
```
LiCo6O2F10
1.0
4.8452 0.0000 0.0000
-0.2377 4.8418 0.0000
-0.0285 -0.0495 9.3306
Li Co O F
1 6 2 10
Cartesian
0.0000 0.0000 0.0000 Li
-0.1184 2.3947 5.6014 Co
-0.0907 2.3795 8.5499 Co
-0.0443 2.4147 2.3721 Co
2.1081 4.6063 0.9454 Co
2.4541 -0.0101 4.0180 Co
2.5548 0.1202 7.0863 Co
0.6274 3.3157 0.7168 O
3.9125 1.4456 7.2322 O
0.7952 3.3703 4.0161 F
0.8712 3.5058 7.1082 F
1.4211 0.8825 2.4283 F
1.4442 0.8919 8.6914 F
1.5235 1.0310 5.5742 F
3.1606 3.7843 2.4674 F
3.1705 3.8516 8.6104 F
3.2515 3.9121 5.5709 F
3.8281 1.2583 0.8565 F
3.8906 1.4422 3.9708 F
```


Entry 6:
This entry pairs a crystal structure of Li5Co7O3F13 with its simulated powder diffractogram. Radiation: Cu Kα, 1.54184 Å. Structure: a PBE+U-relaxed structure.
Kinematic intensities with the Lorentz-polarization factor, no thermal factor.

The 6 most intense peaks (5° ≤ 2θ ≤ 70°), by angle:
2θ/deg  d [Å]  Rel. int.
17.9  4.951  100
34.7  2.585  38
34.9  2.572  32
41.7  2.167  33
42.2  2.142  30
42.5  2.126  29

Structural model:
```
Li5Co7O3F13
1.0
6.0278 0.0000 0.0000
3.0088 5.2863 0.0000
2.9263 1.6347 9.9115
Li Co O F
5 7 3 13
Cartesian
0.0000 0.0000 0.0000 Li
3.0058 3.3990 4.9393 Li
4.4049 4.3309 8.0326 Li
7.5667 6.1645 6.7322 Li
4.5155 0.8214 3.0679 Li
4.4630 4.3015 2.4126 Co
4.5064 2.7517 0.0804 Co
6.0205 5.2690 0.0086 Co
5.9742 3.4026 4.9894 Co
7.4502 2.5478 7.3628 Co
7.5558 2.8612 1.7289 Co
10.3984 6.0919 5.0052 Co
3.1468 3.6717 1.1712 O
5.8923 3.7115 1.2125 O
6.1537 1.8412 6.0794 O
2.9239 1.7298 6.1059 F
1.4773 0.9289 1.1308 F
4.4357 4.3245 6.0987 F
5.8434 5.0934 3.7846 F
7.4642 6.1538 8.6974 F
4.5093 2.6111 3.8044 F
6.0134 3.3824 8.7089 F
4.5059 0.9087 1.1151 F
7.5068 4.2636 6.0892 F
8.7999 3.4225 8.6723 F
10.4818 6.1908 8.6676 F
7.5509 2.5672 3.7623 F
9.1088 5.1160 3.6843 F
```


Entry 7:
This entry pairs a crystal structure of Li5CoOF5 with its simulated powder diffractogram. Radiation: Cu Kα, 1.54184 Å. Structure: a PBE+U-relaxed structure.
Kinematic intensities with the Lorentz-polarization factor, no thermal factor.

The 6 most intense peaks (5° ≤ 2θ ≤ 70°), by angle:
2θ/deg  d [Å]  Rel. int.
5.9  14.971  100
11.8  7.485  24
32.2  2.778  33
32.8  2.731  16
36.0  2.495  16
57.5  1.604  16

Structural model:
```
Li5CoOF5
1.0
3.2078 0.0000 0.0000
-1.6039 2.7780 0.0000
0.0000 0.0000 14.9707
Li Co O F
5 1 1 5
Cartesian
0.0000 0.0000 0.0000 Li
0.0000 0.0000 4.8956 Li
0.0000 0.0000 9.7998 Li
1.6039 0.9260 2.4525 Li
1.6039 0.9260 7.3450 Li
1.6039 0.9260 12.3090 Co
0.0000 0.0000 11.7802 O
0.0000 0.0000 1.8955 F
0.0000 0.0000 6.7884 F
1.6039 0.9260 4.3425 F
1.6039 0.9260 9.2360 F
1.6039 0.9260 14.4556 F
```


Entry 8:
This entry pairs a crystal structure of Li5CoO3F with its simulated powder diffractogram. Radiation: Cu Kα, 1.54184 Å. Structure: a PBE+U-relaxed structure.
Kinematic intensities with the Lorentz-polarization factor, no thermal factor.

The 6 most intense peaks (5° ≤ 2θ ≤ 70°), by angle:
2θ/deg  d [Å]  Rel. int.
13.7  6.485  61
25.7  3.463  100
43.0  2.104  42
48.8  1.867  16
56.6  1.626  15
56.8  1.621  16

Structural model:
```
Li5CoO3F
1.0
4.6963 -4.6238 0.0000
4.6963 4.6238 0.0000
-1.1781 0.0000 4.5808
Li Co O F
10 2 6 2
Cartesian
2.7673 2.6303 2.8241 Li
0.2718 0.0000 4.0256 Li
3.3172 1.8718 0.5832 Li
5.4473 2.6303 1.7566 Li
4.8974 1.8718 3.9975 Li
3.3172 -1.8718 0.5832 Li
2.7673 -2.6303 2.8241 Li
4.8974 -1.8718 3.9975 Li
7.9428 0.0000 0.5551 Li
5.4473 -2.6303 1.7566 Li
2.7592 0.0000 2.8729 Co
5.4554 0.0000 1.7079 Co
1.4906 1.3440 3.4243 O
4.1073 1.2910 2.2904 O
1.4906 -1.3440 3.4243 O
6.7240 1.3440 1.1565 O
4.1073 -1.2910 2.2904 O
6.7240 -1.3440 1.1565 O
4.6963 3.2671 0.0000 F
4.6963 -3.2671 0.0000 F
```


Entry 9:
This entry pairs a crystal structure of Li4CoO3F with its simulated powder diffractogram. Radiation: Cu Kα, 1.54184 Å. Structure: a PBE+U-relaxed structure.
Kinematic intensities with the Lorentz-polarization factor, no thermal factor.

The 6 most intense peaks (5° ≤ 2θ ≤ 70°), by angle:
2θ/deg  d [Å]  Rel. int.
17.9  4.961  87
20.3  4.367  69
22.4  3.971  76
23.9  3.724  73
25.5  3.494  100
35.4  2.535  37

Structural model:
```
Li4CoO3F
1.0
5.0377 0.0000 0.0000
2.0497 4.9840 0.0000
1.7475 -0.7184 7.4473
Li Co O F
8 2 6 2
Cartesian
0.0000 0.0000 0.0000 Li
2.2845 3.8056 2.4093 Li
2.2390 1.7733 3.5362 Li
4.7072 4.1286 2.8813 Li
3.1142 1.3047 0.5539 Li
5.0930 2.5669 5.4618 Li
4.7181 3.6395 0.3714 Li
5.1072 -0.3113 5.1633 Li
2.8410 1.0023 6.0377 Co
4.5940 1.1577 2.7253 Co
1.1027 0.3428 3.1926 O
3.5661 -0.4434 6.8514 O
3.6804 2.5937 2.0102 O
3.8065 1.1798 4.4917 O
5.9701 4.7786 1.5172 O
6.1692 1.1961 6.5625 O
3.2024 3.0851 6.1741 F
6.1675 3.2338 3.9782 F
```


Entry 10:
This entry pairs a crystal structure of Li2CoOF2 with its simulated powder diffractogram. Radiation: Cu Kα, 1.54184 Å. Structure: a PBE+U-relaxed structure.
Kinematic intensities with the Lorentz-polarization factor, no thermal factor.

The 6 most intense peaks (5° ≤ 2θ ≤ 70°), by angle:
2θ/deg  d [Å]  Rel. int.
7.0  12.717  100
33.6  2.669  14
41.8  2.159  10
42.7  2.120  11
43.5  2.080  21
62.6  1.484  11

Structural model:
```
Li2CoOF2
1.0
2.9410 0.0000 0.0000
0.0000 2.9410 0.0000
0.0000 0.0000 12.7174
Li Co O F
4 2 2 4
Cartesian
0.7352 0.7352 1.0013 Li
0.7352 0.7352 9.6494 Li
2.2057 2.2057 3.0681 Li
2.2057 2.2057 11.7161 Li
0.7352 0.7352 5.2617 Co
2.2057 2.2057 7.4557 Co
0.7352 0.7352 7.4999 O
2.2057 2.2057 5.2175 O
0.7352 0.7352 3.0137 F
0.7352 0.7352 11.7032 F
2.2057 2.2057 1.0143 F
2.2057 2.2057 9.7037 F
```